Starting from the GGA-PBE geometry in the Materials Project, the powder diffractogram of Pa3Al was calculated for Cu Ka.
No peak broadening, texture or thermal motion is included.

Main lines, by intensity (5° ≤ 2θ ≤ 70°):
| Position (°2θ) | d_spacing | I (rel.) |
| --- | --- | --- |
| 34.31 | 2.614 | 100 |
| 39.82 | 2.264 | 50 |
| 68.77 | 1.365 | 42 |
| 57.58 | 1.601 | 35 |
| 19.61 | 4.528 | 23 |
| 27.87 | 3.201 | 20 |
| 44.76 | 2.025 | 12 |
| 49.30 | 1.848 | 9 |
| 61.44 | 1.509 | 6 |
| 65.16 | 1.432 | 4 |

Unit cell a=4.5276 b=4.5276 c=4.5276 alpha=90.00 beta=90.00 gamma=90.00
Element x y z (fractional)
Pa 0.0000 0.0000 0.5000
Pa 0.0000 0.5000 0.0000
Pa 0.5000 0.0000 0.0000
Al 0.5000 0.5000 0.5000

=====

Starting from the GGA-PBE geometry in the Materials Project, the powder diffractogram of Rb2Mn3S4 was calculated for Cu Ka.
No peak broadening, texture or thermal motion is included.

Main lines, by intensity (5° ≤ 2θ ≤ 70°):
| Position (°2θ) | d_spacing | I (rel.) |
| --- | --- | --- |
| 28.97 | 3.082 | 100 |
| 32.18 | 2.781 | 38 |
| 43.46 | 2.082 | 33 |
| 33.98 | 2.638 | 28 |
| 49.82 | 1.830 | 22 |
| 51.09 | 1.788 | 21 |
| 25.92 | 3.438 | 20 |
| 22.30 | 3.986 | 19 |
| 39.26 | 2.295 | 15 |
| 51.84 | 1.764 | 15 |
| 54.29 | 1.690 | 14 |
| 51.29 | 1.781 | 11 |

Unit cell a=9.4431 b=9.4431 c=9.4431 alpha=142.42 beta=105.52 gamma=86.55
Element x y z (fractional)
Rb 0.1215 0.2369 0.3583
Rb 0.3785 0.7369 0.1154
Rb 0.6215 0.2631 0.8846
Rb 0.8785 0.7631 0.6417
Mn 0.0256 0.2500 0.7756
Mn 0.2500 0.7500 0.5000
Mn 0.4744 0.2500 0.2244
Mn 0.5256 0.7500 0.7756
Mn 0.7500 0.2500 0.5000
Mn 0.9744 0.7500 0.2244
S 0.0169 0.4334 0.1476
S 0.2143 0.0666 0.5836
S 0.2857 0.8693 0.8524
S 0.4831 0.6307 0.4164
S 0.5169 0.3693 0.5836
S 0.7143 0.1307 0.1476
S 0.7857 0.9334 0.4164
S 0.9831 0.5666 0.8524